(1)
The following is a simulated powder diffractogram of Pm5Dy3Ho. It was derived from a crystal structure in Alexandria, relaxed with GGA-PBE, using a wavelength of 1.5418 Å.
Peak positions follow from Bragg's law for the DFT cell and can differ from measured ones.

Principal peaks in the range 10° ≤ 2θ ≤ 90°, sorted by position:
2θ (°)	I_rel
23.07	103
28.90	114
30.82	1000
30.91	465
31.20	652
31.91	125
32.82	149
32.97	131
35.40	267
38.35	124
54.73	91
55.00	159

Structure:
Unit cell a=8.8871 b=8.8871 c=11.5970 alpha=108.76 beta=108.76 gamma=44.62
Sites, in units of the cell vectors:
Pm  0.1085  0.1118  0.5508
Pm  0.1118  0.1085  0.0508
Pm  0.1877  0.8123  0.7500
Pm  0.2393  0.4172  0.6545
Pm  0.4172  0.2393  0.1545
Pm  0.5828  0.7607  0.8455
Pm  0.7607  0.5828  0.3455
Pm  0.8123  0.1877  0.2500
Pm  0.8882  0.8915  0.9492
Pm  0.8915  0.8882  0.4492
Dy  0.1416  0.3365  0.8724
Dy  0.3365  0.1416  0.3724
Dy  0.5000  0.5000  0.0000
Dy  0.5000  0.5000  0.5000
Dy  0.6635  0.8584  0.6276
Dy  0.8584  0.6635  0.1276
Ho  0.2614  0.7386  0.2500
Ho  0.7386  0.2614  0.7500

(2)
The following is a simulated powder diffractogram of Pm4Dy5Ho2. It was derived from a crystal structure in Alexandria, relaxed with GGA-PBE, using a wavelength of 1.5418 Å.
Peak positions follow from Bragg's law for the DFT cell and can differ from measured ones.

Principal peaks in the range 10° ≤ 2θ ≤ 90°, sorted by position:
2θ (°)	I_rel
30.15	763
30.86	819
31.34	1000
31.69	945
32.45	841
32.72	937
34.04	292
45.99	275
47.49	320
51.31	268
61.37	301
61.58	302

Structure:
Unit cell a=8.8517 b=8.8517 c=11.6333 alpha=95.01 beta=95.01 gamma=23.21
Sites, in units of the cell vectors:
Pm  0.0927  0.0927  0.0680
Pm  0.3702  0.3702  0.6725
Pm  0.6298  0.6298  0.3275
Pm  0.9073  0.9073  0.9320
Dy  0.0000  0.0000  0.5000
Dy  0.3052  0.3052  0.3988
Dy  0.4461  0.4461  0.2110
Dy  0.5539  0.5539  0.7890
Dy  0.6948  0.6948  0.6012
Ho  0.2281  0.2281  0.8659
Ho  0.7719  0.7719  0.1341

(3)
The following is a simulated powder diffractogram of PmDy3Ho7. It was derived from a crystal structure in Alexandria, relaxed with GGA-PBE, using a wavelength of 1.5418 Å.
Peak positions follow from Bragg's law for the DFT cell and can differ from measured ones.

Principal peaks in the range 10° ≤ 2θ ≤ 90°, sorted by position:
2θ (°)	I_rel
31.20	1000
31.30	328
36.21	675
52.08	238
52.21	237
62.01	423
62.15	141
65.08	123
76.86	76
85.15	119
87.94	112
88.15	110

Structure:
Unit cell a=7.0246 b=7.0246 c=8.5727 alpha=90.00 beta=90.00 gamma=120.00
Sites, in units of the cell vectors:
Pm  0.0000  0.0000  0.0000
Dy  0.1671  0.3341  0.6621
Dy  0.1671  0.8329  0.6621
Dy  0.6659  0.8329  0.6621
Ho  0.0024  0.5012  0.9981
Ho  0.3313  0.1656  0.3295
Ho  0.3333  0.6667  0.3269
Ho  0.4988  0.5012  0.9981
Ho  0.4988  0.9976  0.9981
Ho  0.8344  0.1656  0.3295
Ho  0.8344  0.6687  0.3295

(4)
The following is a simulated powder diffractogram of Pm2DyHo4. It was derived from a crystal structure in Alexandria, relaxed with GGA-PBE, using a wavelength of 1.5418 Å.
Peak positions follow from Bragg's law for the DFT cell and can differ from measured ones.

Principal peaks in the range 10° ≤ 2θ ≤ 90°, sorted by position:
2θ (°)	I_rel
29.99	723
31.30	1000
31.42	928
31.60	974
32.65	847
33.06	880
41.80	281
47.92	399
51.70	247
61.76	271
61.87	287
62.50	279

Structure:
Unit cell a=8.5890 b=8.5890 c=8.7537 alpha=119.31 beta=119.31 gamma=23.76
Sites, in units of the cell vectors:
Pm  0.0697  0.0697  0.4304
Pm  0.9303  0.9303  0.5696
Dy  0.0000  0.0000  0.0000
Ho  0.2954  0.2954  0.7074
Ho  0.3546  0.3546  0.1554
Ho  0.6454  0.6454  0.8446
Ho  0.7046  0.7046  0.2926

(5)
The following is a simulated powder diffractogram of Pm3DyHo. It was derived from a crystal structure in Alexandria, relaxed with GGA-PBE, using a wavelength of 1.5418 Å.
Peak positions follow from Bragg's law for the DFT cell and can differ from measured ones.

Principal peaks in the range 10° ≤ 2θ ≤ 90°, sorted by position:
2θ (°)	I_rel
28.51	85
29.53	407
30.57	342
32.43	1000
36.81	227
48.58	103
50.49	254
55.52	218
60.18	300
61.30	162
83.29	69
85.40	76

Structure:
Unit cell a=9.5598 b=9.5598 c=12.2458 alpha=106.21 beta=106.21 gamma=38.26
Sites, in units of the cell vectors:
Pm  0.1186  0.2820  0.2501
Pm  0.1982  0.7006  0.9986
Pm  0.2820  0.1186  0.7501
Pm  0.2994  0.8018  0.5014
Pm  0.3169  0.4836  0.2501
Pm  0.4836  0.3169  0.7501
Pm  0.5164  0.6831  0.2499
Pm  0.6831  0.5164  0.7499
Pm  0.7006  0.1982  0.4986
Pm  0.7180  0.8814  0.2499
Pm  0.8018  0.2994  0.0014
Pm  0.8814  0.7180  0.7499
Dy  0.0996  0.5995  0.5009
Dy  0.4005  0.9004  0.9991
Dy  0.5995  0.0996  0.0009
Dy  0.9004  0.4005  0.4991
Ho  0.0000  0.5000  0.0000
Ho  0.0841  0.9159  0.7500
Ho  0.5000  0.0000  0.5000
Ho  0.9159  0.0841  0.2500

(6)
The following is a simulated powder diffractogram of PmDy4Ho5. It was derived from a crystal structure in Alexandria, relaxed with GGA-PBE, using a wavelength of 1.5418 Å.
Peak positions follow from Bragg's law for the DFT cell and can differ from measured ones.

Principal peaks in the range 10° ≤ 2θ ≤ 90°, sorted by position:
2θ (°)	I_rel
30.93	1000
35.86	506
51.62	360
61.32	36
61.40	356
61.46	36
64.44	92
76.06	38
84.24	89
84.33	89
86.94	70
87.06	97

Structure:
Unit cell a=6.1362 b=7.0807 c=7.9180 alpha=77.12 beta=75.09 gamma=73.14
Sites, in units of the cell vectors:
Pm  0.0000  0.0000  0.0000
Dy  0.2002  0.3005  0.6000
Dy  0.4008  0.5993  0.2008
Dy  0.8000  0.2003  0.4007
Dy  0.8005  0.6993  0.4007
Ho  0.0003  0.5000  0.9999
Ho  0.2008  0.7994  0.6000
Ho  0.4002  0.0999  0.2007
Ho  0.5996  0.4007  0.7994
Ho  0.6001  0.8999  0.7996

(7)
The following is a simulated powder diffractogram of Pm3Dy3Ho5. It was derived from a crystal structure in Alexandria, relaxed with GGA-PBE, using a wavelength of 1.5418 Å.
Peak positions follow from Bragg's law for the DFT cell and can differ from measured ones.

Principal peaks in the range 10° ≤ 2θ ≤ 90°, sorted by position:
2θ (°)	I_rel
10.60	298
16.26	454
18.41	167
26.91	536
28.29	259
32.18	385
32.83	1000
36.26	639
42.43	252
46.66	279
61.19	204
71.89	201

Structure:
Unit cell a=9.6359 b=9.6359 c=5.4501 alpha=90.00 beta=90.00 gamma=120.00
Sites, in units of the cell vectors:
Pm  0.0000  0.3660  0.0000
Pm  0.3660  0.0000  0.0000
Pm  0.6340  0.6340  0.0000
Dy  0.0000  0.5492  0.5000
Dy  0.4508  0.4508  0.5000
Dy  0.5492  0.0000  0.5000
Ho  0.0000  0.7333  0.0000
Ho  0.2667  0.2667  0.0000
Ho  0.3333  0.6667  0.0000
Ho  0.6667  0.3333  0.0000
Ho  0.7333  0.0000  0.0000

(8)
The following is a simulated powder diffractogram of Pm2Dy6Ho5. It was derived from a crystal structure in Alexandria, relaxed with GGA-PBE, using a wavelength of 1.5418 Å.
Peak positions follow from Bragg's law for the DFT cell and can differ from measured ones.

Principal peaks in the range 10° ≤ 2θ ≤ 90°, sorted by position:
2θ (°)	I_rel
30.64	246
31.01	571
31.62	473
32.01	980
32.24	1000
34.38	388
35.32	251
36.68	299
51.06	230
54.54	202
56.99	299
61.55	332

Structure:
Unit cell a=11.6562 b=20.1482 c=3.5776 alpha=90.00 beta=90.00 gamma=90.00
Sites, in units of the cell vectors:
Pm  0.1675  0.2141  0.0000
Pm  0.3325  0.7141  0.0000
Pm  0.6675  0.2859  0.0000
Pm  0.8325  0.7859  0.0000
Dy  0.0588  0.9214  0.0000
Dy  0.0804  0.6334  0.0000
Dy  0.1766  0.3709  0.5000
Dy  0.3234  0.8709  0.5000
Dy  0.4196  0.1334  0.0000
Dy  0.4412  0.4214  0.0000
Dy  0.5588  0.5786  0.0000
Dy  0.5804  0.8666  0.0000
Dy  0.6766  0.1291  0.5000
Dy  0.8234  0.6291  0.5000
Dy  0.9196  0.3666  0.0000
Dy  0.9412  0.0786  0.0000
Ho  0.0000  0.5000  0.5000
Ho  0.0920  0.7766  0.5000
Ho  0.1993  0.0512  0.5000
Ho  0.3007  0.5512  0.5000
Ho  0.4080  0.2766  0.5000
Ho  0.5000  0.0000  0.5000
Ho  0.5920  0.7234  0.5000
Ho  0.6993  0.4488  0.5000
Ho  0.8007  0.9488  0.5000
Ho  0.9080  0.2234  0.5000

(9)
The following is a simulated powder diffractogram of Pm3Dy8Ho4. It was derived from a crystal structure in Alexandria, relaxed with GGA-PBE, using a wavelength of 1.5418 Å.
Peak positions follow from Bragg's law for the DFT cell and can differ from measured ones.

Principal peaks in the range 10° ≤ 2θ ≤ 90°, sorted by position:
2θ (°)	I_rel
27.94	357
30.70	1000
30.94	479
31.98	276
38.99	115
41.99	467
42.17	224
54.88	181
62.70	132
63.92	123
66.82	197
83.74	120

Structure:
Unit cell a=9.2495 b=9.2495 c=6.7440 alpha=111.37 beta=111.37 gamma=87.34
Sites, in units of the cell vectors:
Pm  0.0000  0.0000  0.0000
Pm  0.0000  0.5000  0.0000
Pm  0.5000  0.0000  0.0000
Dy  0.1418  0.8582  0.5000
Dy  0.2305  0.2305  0.9596
Dy  0.2392  0.2392  0.4905
Dy  0.2472  0.7528  0.0000
Dy  0.7528  0.2472  0.0000
Dy  0.7608  0.7608  0.5095
Dy  0.7695  0.7695  0.0404
Dy  0.8582  0.1418  0.5000
Ho  0.0000  0.5000  0.5000
Ho  0.5000  0.0000  0.5000
Ho  0.5000  0.5000  0.0000
Ho  0.5000  0.5000  0.5000

(10)
The following is a simulated powder diffractogram of PmDy6Ho6. It was derived from a crystal structure in Alexandria, relaxed with GGA-PBE, using a wavelength of 1.5418 Å.
Peak positions follow from Bragg's law for the DFT cell and can differ from measured ones.

Principal peaks in the range 10° ≤ 2θ ≤ 90°, sorted by position:
2θ (°)	I_rel
29.17	760
30.21	914
31.84	294
32.31	388
32.50	270
34.39	1000
35.41	299
39.08	209
42.39	226
52.23	216
59.76	231
60.94	215

Structure:
Unit cell a=6.5562 b=6.5562 c=11.0184 alpha=90.00 beta=90.00 gamma=115.42
Sites, in units of the cell vectors:
Pm  0.0000  0.0000  0.0000
Dy  0.0000  0.0000  0.3357
Dy  0.0000  0.0000  0.6643
Dy  0.2635  0.7365  0.5000
Dy  0.3563  0.6437  0.0000
Dy  0.6437  0.3563  0.0000
Dy  0.7365  0.2635  0.5000
Ho  0.0000  0.5000  0.2259
Ho  0.0000  0.5000  0.7741
Ho  0.5000  0.0000  0.2259
Ho  0.5000  0.0000  0.7741
Ho  0.5000  0.5000  0.3023
Ho  0.5000  0.5000  0.6977

(11)
The following is a simulated powder diffractogram of PmDy6Ho3. It was derived from a crystal structure in Alexandria, relaxed with GGA-PBE, using a wavelength of 1.5418 Å.
Peak positions follow from Bragg's law for the DFT cell and can differ from measured ones.

Principal peaks in the range 10° ≤ 2θ ≤ 90°, sorted by position:
2θ (°)	I_rel
28.15	248
28.76	816
28.89	247
30.44	359
31.73	788
31.86	1000
33.28	257
34.64	521
35.90	209
51.18	219
58.55	189
60.28	181

Structure:
Unit cell a=10.9432 b=10.9432 c=6.1756 alpha=90.00 beta=90.00 gamma=119.65
Sites, in units of the cell vectors:
Pm  0.2059  0.7941  0.5000
Pm  0.7941  0.2059  0.0000
Dy  0.0413  0.4617  0.7181
Dy  0.0462  0.9538  0.2670
Dy  0.2826  0.7174  0.9946
Dy  0.2893  0.3813  0.8860
Dy  0.3813  0.2893  0.3860
Dy  0.4617  0.0413  0.2181
Dy  0.5383  0.9587  0.7181
Dy  0.6187  0.7107  0.8860
Dy  0.7107  0.6187  0.3860
Dy  0.7174  0.2826  0.4946
Dy  0.9538  0.0462  0.7670
Dy  0.9587  0.5383  0.2181
Ho  0.0628  0.2816  0.3107
Ho  0.2816  0.0628  0.8107
Ho  0.3896  0.6104  0.4240
Ho  0.6104  0.3896  0.9240
Ho  0.7184  0.9372  0.3107
Ho  0.9372  0.7184  0.8107

(12)
The following is a simulated powder diffractogram of PmPrDy2Ho2. It was derived from a crystal structure in Alexandria, relaxed with GGA-PBE, using a wavelength of 1.5418 Å.
Peak positions follow from Bragg's law for the DFT cell and can differ from measured ones.

Principal peaks in the range 10° ≤ 2θ ≤ 90°, sorted by position:
2θ (°)	I_rel
26.68	337
28.78	1000
30.10	838
30.28	953
31.22	343
33.07	267
33.74	589
35.88	334
38.28	252
40.97	740
55.50	385
62.26	226

Structure:
Unit cell a=6.6195 b=17.8144 c=3.4013 alpha=90.00 beta=90.00 gamma=90.00
Sites, in units of the cell vectors:
Pm  0.0000  0.0000  0.0000
Pm  0.5000  0.5000  0.5000
Pr  0.0000  0.5000  0.0000
Pr  0.5000  0.0000  0.5000
Dy  0.2242  0.1508  0.5000
Dy  0.2758  0.6508  0.0000
Dy  0.7242  0.3492  0.0000
Dy  0.7758  0.8492  0.5000
Ho  0.2266  0.3165  0.0000
Ho  0.2734  0.8165  0.5000
Ho  0.7266  0.1835  0.5000
Ho  0.7734  0.6835  0.0000